Structure and computed powder XRD pattern of Fe2GeBiO6 (a cell relaxed with PBE+U; CuKα).
Kinematic intensities with the Lorentz-polarization factor, no thermal factor.

Principal peaks in the range 5 to 70 degrees two-theta, low angle first:
index	2theta	Rel. int.
1 0 -2	20.1	27
0 0 2	22.6	26
1 1 -1	23.0	44
0 2 0	32.1	45
1 1 1	32.3	100
1 1 -3	32.6	88
2 0 -2	33.4	43
2 2 -2	47.0	40
1 3 1	57.4	40
3 1 -1	58.8	24

Cell and atoms:
```
Fe2GeBiO6
1.0
5.3673 0.0000 0.0000
0.0000 5.5701 0.0000
-5.2709 0.0000 7.8731
Fe Ge Bi O
4 2 2 12
Cartesian
0.0786 0.1346 1.7026
-2.5569 2.6504 5.6392
2.6533 2.9197 2.2340
0.0178 5.4355 6.1705
2.6837 0.0000 0.0000
0.0482 2.7850 3.9366
-2.6355 0.0000 3.9366
0.0000 2.7850 0.0000
-4.2630 0.7670 7.6436
-1.6276 2.0181 3.7071
-3.3592 3.9766 6.9459
-0.7238 4.3785 3.0093
-1.8990 0.7493 6.1888
0.7364 2.0358 2.2522
-0.6400 3.5343 5.6209
1.9954 4.8208 1.6843
0.8202 1.1916 4.8638
3.4556 1.5934 0.9273
1.7240 3.5520 4.1660
4.3594 4.8031 0.2295
```